Starting from a structure optimized by DFT (GGA-PBE), the powder diffractogram of Al7Ag4 was calculated for Cu Kα.
Intensities are scaled so that the largest is 1000.

Crystal structure
```
Al7Ag4
1.0
9.374 -1.452 0.000
9.374 1.452 0.000
-1.672 0.000 6.803
Al Ag
7 4
Direct
0.000 0.000 0.000
0.091 0.091 0.731
0.182 0.182 0.452
0.455 0.455 0.633
0.545 0.545 0.367
0.818 0.818 0.548
0.909 0.909 0.269
0.277 0.277 0.195
0.368 0.368 0.905
0.632 0.632 0.095
0.723 0.723 0.805
```

Peak list (10 most intense, 2θ = 10–80°, by angle)
- 6.803 Å, rel. 604
- 3.469 Å, rel. 218
- 3.056 Å, rel. 142
- 2.620 Å, rel. 161
- 2.365 Å, rel. 1000
- 2.334 Å, rel. 948
- 2.257 Å, rel. 130
- 2.034 Å, rel. 931
- 1.439 Å, rel. 375
- 1.233 Å, rel. 230